No. 1
Computed X-ray powder pattern of Si7Ir for Cu Kα (weighted mean of Kα1 and Kα2), from a cell relaxed with GGA-PBE.
Intensities are scaled so that the largest is 100.

Principal peaks in the range 2θ = 10–90°, sorted by position:
d (Å)	I/Imax	index
4.428	100	1 1 1
3.835	54	2 0 0
2.712	45	2 2 0
2.313	58	3 1 1
2.214	99	2 2 2
1.917	48	4 0 0
1.760	26	3 3 1
1.715	24	4 2 0
1.356	31	4 4 0
1.156	38	6 2 2

Structural model:
Unit cell a=7.670 b=7.670 c=7.670 alpha=90.00 beta=90.00 gamma=90.00
Space group Fm-3m (No. 225)
Unique sites:
Si (0.000, 0.000, 0.000) (multiplicity 4)
Si (0.000, 0.250, 0.250) (multiplicity 24)
Ir (0.000, 0.000, 0.500) (multiplicity 4)

No. 2
Computed X-ray powder pattern of Si3Ir for Cu Kα (weighted mean of Kα1 and Kα2), from a cell relaxed with GGA-PBE.
Intensities are scaled so that the largest is 100.

Principal peaks in the range 2θ = 10–90°, sorted by position:
d (Å)	I/Imax	index
4.170	24	1 0 1
3.590	100	1 1 1
3.526	40	0 2 0
2.948	36	0 0 2
2.722	30	2 1 0
2.262	31	0 2 2
2.048	40	1 3 1
2.000	26	2 1 2
1.866	24	3 0 1
1.802	27	1 1 3

Structural model:
Unit cell a=5.901 b=7.053 c=5.895 alpha=90.00 beta=90.00 gamma=90.00
Space group Pnma (No. 62)
Unique sites:
Si (0.062, 0.250, 0.114) (multiplicity 4)
Si (0.183, 0.574, 0.362) (multiplicity 8)
Ir (0.173, 0.250, 0.514) (multiplicity 4)